Theoretical powder XRD pattern of Sc3TcN4 for Cu Kα (λ = 1.5418 Å), from the GGA-PBE geometry in Alexandria.
Neutral-atom scattering factors, no anomalous dispersion.

Structure:
abc: 5.4273 6.2835 5.4236
angles: 90.00 109.27 90.00
Fractional coordinates of all 16 atoms:
Sc  0.0000  0.1243  0.2500
Sc  0.0000  0.3732  0.7500
Sc  0.0000  0.6268  0.2500
Sc  0.0000  0.8757  0.7500
Sc  0.5000  0.3725  0.2500
Sc  0.5000  0.6275  0.7500
Tc  0.5000  0.1186  0.7500
Tc  0.5000  0.8814  0.2500
N  0.2520  0.1248  0.9996
N  0.2521  0.3731  0.4995
N  0.2521  0.6269  0.9995
N  0.2520  0.8752  0.4996
N  0.7480  0.1248  0.5004
N  0.7479  0.3731  0.0005
N  0.7479  0.6269  0.5005
N  0.7480  0.8752  0.0004

Top 12 peaks for 15° ≤ 2θ ≤ 90°, low angle first:
hkl, 2theta, d (Å), Rel. int.
1 0 0, 17.31, 5.123, 14
1 1 0, 22.39, 3.970, 15
0 2 1, 33.46, 2.678, 5
2 0 0, 35.04, 2.561, 100
1 2 1, 40.62, 2.221, 82
2 0 -2, 40.79, 2.212, 40
2 0 2, 58.80, 1.571, 24
3 2 -1, 58.93, 1.567, 48
3 2 1, 70.31, 1.339, 26
4 0 -2, 70.55, 1.335, 13
4 0 0, 74.03, 1.281, 23
2 4 2, 87.93, 1.111, 7